Li3Fe3O8: theoretical powder diffraction line list (Cu Kα, 1.54184 Å), based on a GGA+U-relaxed structure.

Main lines, low angle first (2θ from 10° to 90°):
d_spacing	I/Imax	(hkl)
4.961	100	0 0 2
4.508	13	0 2 1
4.452	22	1 1 1
2.452	10	0 4 1
2.416	18	2 2 1
2.254	8	0 4 2
2.010	11	0 4 3
1.993	11	2 2 -3
1.987	11	2 2 3
1.453	11	2 6 0

Cell and atoms:
Unit cell a=5.723 b=10.123 c=9.920 alpha=90.00 beta=90.21 gamma=90.00
Space group Cc (No. 9)
Inequivalent atoms, fractional coordinates:
1 Li 0.000 0.001 0.000 x4
2 Li 0.000 0.332 0.489 x4
3 Li 0.498 0.164 0.604 x4
4 Fe 0.247 0.416 0.786 x4
5 Fe 0.250 0.084 0.286 x4
6 Fe 0.499 0.332 0.285 x4
7 O 0.225 0.258 0.679 x4
8 O 0.234 0.078 0.885 x4
9 O 0.264 0.422 0.385 x4
10 O 0.271 0.242 0.180 x4
11 O 0.498 0.017 0.180 x4
12 O 0.498 0.493 0.683 x4
13 O 0.499 0.161 0.394 x4
14 O 0.499 0.346 0.888 x4